Starting from a crystal structure in Alexandria, relaxed with GGA-PBE, the powder diffraction line list of LiPr2Ag was simulated for a wavelength of 1.5418 Å.
Lines closer than 0.1° are merged.

Top 10 peaks for 15° ≤ 2θ ≤ 90°, by angle:
h k l, two_theta, I (rel.)
1 0 0, 16.83, 18.9
0 0 1, 22.61, 11.1
1 1 0, 23.89, 19.5
1 0 1, 28.32, 10.9
1 1 1, 33.13, 100.0
2 0 0, 34.03, 46.5
2 2 0, 48.90, 16.5
2 0 2, 58.59, 19.1
3 1 1, 60.34, 34.8
2 2 2, 69.52, 11.3

```
data_LiPr2Ag
_chemical_formula_sum 'Li1 Pr2 Ag1'
_space_group_name_H-M_alt 'P 4/m m m'
_space_group_IT_number 123
_space_group_name_Hall '-P 4 2'
_cell_length_a 5.269
_cell_length_b 5.269
_cell_length_c 3.932
_cell_angle_alpha 90.00
_cell_angle_beta 90.00
_cell_angle_gamma 90.00
loop_
_atom_site_label
_atom_site_type_symbol
_atom_site_fract_x
_atom_site_fract_y
_atom_site_fract_z
Li1 Li 0.000 0.000 0.000
Pr1 Pr 0.000 0.500 0.500
Ag1 Ag 0.500 0.500 0.000
```

Starting from a crystal structure in Alexandria, relaxed with GGA-PBE, the powder diffraction line list of Ce2NiP4Pt3 was simulated for a wavelength of 1.5418 Å.
Lines closer than 0.1° are merged.

Top 10 peaks for 15° ≤ 2θ ≤ 90°, by angle:
h k l, two_theta, I (rel.)
1 0 2, 28.23, 53.2
1 1 0, 29.48, 32.8
1 1 1, 31.02, 65.1
1 1 2, 35.28, 78.8
1 0 3, 35.58, 100.0
2 0 0, 42.18, 82.2
1 0 5, 53.38, 22.2
2 1 3, 56.34, 53.5
2 2 0, 61.18, 27.3
2 1 5, 70.24, 32.6

```
data_Ce2NiP4Pt3
_chemical_formula_sum 'Ce2 Ni1 P4 Pt3'
_space_group_name_H-M_alt 'P -4 m 2'
_space_group_IT_number 115
_cell_length_a 4.285
_cell_length_b 4.285
_cell_length_c 9.366
_cell_angle_alpha 90.00
_cell_angle_beta 90.00
_cell_angle_gamma 90.00
loop_
_space_group_symop_operation_xyz
'x,y,z'
'y,-x,-z'
'-x,-y,z'
'-y,x,-z'
'-x,y,z'
'-y,-x,-z'
'x,-y,z'
'y,x,-z'
loop_
_atom_site_label
_atom_site_type_symbol
_atom_site_fract_x
_atom_site_fract_y
_atom_site_fract_z
Ce1 Ce 0.000 0.500 0.249
Ni1 Ni 0.500 0.500 0.000
P1 P 0.000 0.000 0.500
P2 P 0.000 0.500 0.875
P3 P 0.500 0.500 0.500
Pt1 Pt 0.000 0.000 0.000
Pt2 Pt 0.000 0.500 0.618
```

Starting from a crystal structure in Alexandria, relaxed with GGA-PBE, the powder diffraction line list of NpTlPb2O6 was simulated for a wavelength of 1.5418 Å.
Lines closer than 0.1° are merged.

Top 10 peaks for 15° ≤ 2θ ≤ 90°, by angle:
h k l, two_theta, I (rel.)
-1 1 1, 19.51, 17.8
1 0 -2, 26.80, 85.7
1 1 -1, 28.62, 100.0
0 1 -2, 31.23, 17.9
0 2 -2, 39.57, 21.0
-2 2 2, 39.68, 10.5
1 1 1, 43.27, 17.6
2 -3 1, 49.57, 28.1
3 0 -2, 50.74, 17.7
2 -1 2, 57.27, 13.4

```
data_NpTlPb2O6
_chemical_formula_sum 'Np1 Tl1 Pb2 O6'
_space_group_name_H-M_alt 'P 1'
_space_group_IT_number 1
_cell_length_a 6.227
_cell_length_b 6.244
_cell_length_c 6.679
_cell_angle_alpha 90.21
_cell_angle_beta 117.69
_cell_angle_gamma 119.91
loop_
_space_group_symop_operation_xyz
'x,y,z'
loop_
_atom_site_label
_atom_site_type_symbol
_atom_site_fract_x
_atom_site_fract_y
_atom_site_fract_z
Np1 Np 0.000 0.000 0.000
Tl1 Tl 0.069 0.535 0.604
Pb1 Pb 0.582 0.793 0.373
Pb2 Pb 0.638 0.319 0.956
O1 O 0.126 0.952 0.779
O2 O 0.133 0.789 0.192
O3 O 0.401 0.343 0.191
O4 O 0.607 0.654 0.779
O5 O 0.825 0.171 0.777
O6 O 0.846 0.060 0.191
```

Starting from a crystal structure in Alexandria, relaxed with GGA-PBE, the powder diffraction line list of BaLaB6C6 was simulated for a wavelength of 1.5418 Å.
Lines closer than 0.1° are merged.

Top 10 peaks for 15° ≤ 2θ ≤ 90°, by angle:
h k l, two_theta, I (rel.)
1 1 0, 25.35, 100.0
2 0 0, 36.16, 36.1
2 1 1, 44.68, 77.3
2 2 0, 52.07, 15.2
3 1 0, 58.78, 21.4
2 2 2, 65.03, 3.1
3 1 2, 70.99, 37.7
4 0 0, 76.74, 5.4
4 1 1, 82.35, 12.5
4 2 0, 87.89, 11.1

```
data_BaLaB6C6
_chemical_formula_sum 'Ba1 La1 B6 C6'
_space_group_name_H-M_alt 'P m -3'
_space_group_IT_number 200
_space_group_name_Hall '-P 2 2 3'
_cell_length_a 4.968
_cell_length_b 4.968
_cell_length_c 4.968
_cell_angle_alpha 90.00
_cell_angle_beta 90.00
_cell_angle_gamma 90.00
loop_
_atom_site_label
_atom_site_type_symbol
_atom_site_fract_x
_atom_site_fract_y
_atom_site_fract_z
Ba1 Ba 0.000 0.000 0.000
La1 La 0.500 0.500 0.500
B1 B 0.000 0.252 0.500
C1 C 0.000 0.500 0.256
```

Starting from a crystal structure in Alexandria, relaxed with GGA-PBE, the powder diffraction line list of Pm5Si4 was simulated for a wavelength of 1.5418 Å.
Lines closer than 0.1° are merged.

Top 10 peaks for 15° ≤ 2θ ≤ 90°, by angle:
h k l, two_theta, I (rel.)
0 0 1, 24.93, 33.6
3 1 0, 26.27, 23.1
4 0 0, 33.42, 23.6
4 0 -1, 34.50, 100.0
3 3 0, 35.51, 39.9
2 0 -2, 48.03, 13.4
3 3 1, 48.79, 27.3
5 3 -2, 61.14, 19.5
7 3 -1, 63.11, 18.9
6 0 1, 65.74, 12.5

```
data_Pm5Si4
_chemical_formula_sum 'Pm10 Si8'
_space_group_name_H-M_alt 'C 1 2/m 1'
_space_group_IT_number 12
_cell_length_a 11.374
_cell_length_b 10.726
_cell_length_c 3.787
_cell_angle_alpha 90.00
_cell_angle_beta 109.43
_cell_angle_gamma 90.00
loop_
_space_group_symop_operation_xyz
'x,y,z'
'-x,-y,-z'
'-x,y,-z'
'x,-y,z'
'x+1/2,y+1/2,z'
'-x+1/2,-y+1/2,-z'
'-x+1/2,y+1/2,-z'
'x+1/2,-y+1/2,z'
loop_
_atom_site_label
_atom_site_type_symbol
_atom_site_fract_x
_atom_site_fract_y
_atom_site_fract_z
Pm1 Pm 0.000 0.000 0.000
Pm2 Pm 0.000 0.305 0.000
Pm3 Pm 0.195 0.500 0.696
Si1 Si 0.196 0.196 0.696
```

Starting from a crystal structure in Alexandria, relaxed with GGA-PBE, the powder diffraction line list of Tb2Pm3TmSb6 was simulated for a wavelength of 1.5418 Å.
Lines closer than 0.1° are merged.

Top 10 peaks for 15° ≤ 2θ ≤ 90°, by angle:
h k l, two_theta, I (rel.)
4 0 -2, 24.58, 2.7
6 0 0, 28.45, 100.0
5 1 2, 40.67, 76.2
6 2 0, 50.38, 27.2
12 0 0, 58.88, 12.7
4 2 4, 66.67, 34.8
5 3 2, 74.00, 19.4
14 0 -4, 74.09, 6.3
0 4 0, 88.01, 4.3
14 2 -4, 88.12, 4.2

```
data_Tb2Pm3TmSb6
_chemical_formula_sum 'Tb4 Pm6 Tm2 Sb12'
_space_group_name_H-M_alt 'C 1 2/m 1'
_space_group_IT_number 12
_cell_length_a 19.331
_cell_length_b 4.438
_cell_length_c 8.869
_cell_angle_alpha 90.00
_cell_angle_beta 103.18
_cell_angle_gamma 90.00
loop_
_space_group_symop_operation_xyz
'x,y,z'
'-x,-y,-z'
'-x,y,-z'
'x,-y,z'
'x+1/2,y+1/2,z'
'-x+1/2,-y+1/2,-z'
'-x+1/2,y+1/2,-z'
'x+1/2,-y+1/2,z'
loop_
_atom_site_label
_atom_site_type_symbol
_atom_site_fract_x
_atom_site_fract_y
_atom_site_fract_z
Tb1 Tb 0.166 0.000 0.333
Pm1 Pm 0.000 0.500 0.500
Pm2 Pm 0.167 0.000 0.833
Tm1 Tm 0.000 0.500 0.000
Sb1 Sb 0.001 0.000 0.243
Sb2 Sb 0.164 0.500 0.086
Sb3 Sb 0.168 0.500 0.580
```

Starting from a crystal structure in Alexandria, relaxed with GGA-PBE, the powder diffraction line list of Ac4SmTm was simulated for a wavelength of 1.5418 Å.
Lines closer than 0.1° are merged.

Top 10 peaks for 15° ≤ 2θ ≤ 90°, by angle:
h k l, two_theta, I (rel.)
1 0 0, 23.95, 10.1
0 2 0, 28.55, 30.1
0 1 3, 29.23, 100.0
1 0 2, 29.45, 24.3
1 1 3, 38.15, 12.5
1 2 2, 41.48, 19.5
0 3 3, 50.99, 22.0
1 1 5, 52.13, 11.6
2 2 0, 57.72, 8.7
2 1 3, 58.12, 16.9

```
data_Ac4SmTm
_chemical_formula_sum 'Ac4 Sm1 Tm1'
_space_group_name_H-M_alt 'P m m m'
_space_group_IT_number 47
_cell_length_a 3.715
_cell_length_b 6.254
_cell_length_c 10.499
_cell_angle_alpha 90.00
_cell_angle_beta 90.00
_cell_angle_gamma 90.00
loop_
_space_group_symop_operation_xyz
'x,y,z'
'-x,-y,-z'
'-x,-y,z'
'x,y,-z'
'x,-y,-z'
'-x,y,z'
'-x,y,-z'
'x,-y,z'
loop_
_atom_site_label
_atom_site_type_symbol
_atom_site_fract_x
_atom_site_fract_y
_atom_site_fract_z
Ac1 Ac 0.000 0.000 0.169
Ac2 Ac 0.000 0.500 0.328
Sm1 Sm 0.500 0.000 0.500
Tm1 Tm 0.500 0.500 0.000
```

Starting from a crystal structure in Alexandria, relaxed with GGA-PBE, the powder diffraction line list of Rb2PuCl6 was simulated for a wavelength of 1.5418 Å.
Lines closer than 0.1° are merged.

Top 10 peaks for 15° ≤ 2θ ≤ 90°, by angle:
h k l, two_theta, I (rel.)
1 0 1, 15.48, 100.0
1 0 2, 19.99, 36.1
1 1 0, 23.77, 65.3
1 0 3, 25.86, 52.4
1 1 2, 27.97, 39.9
2 0 2, 31.25, 62.1
2 0 3, 35.41, 47.3
2 1 3, 43.10, 29.2
2 0 5, 46.59, 24.3
2 2 0, 48.65, 32.0

```
data_Rb2PuCl6
_chemical_formula_sum 'Rb4 Pu2 Cl12'
_space_group_name_H-M_alt 'P 63 m c'
_space_group_IT_number 186
_space_group_name_Hall 'P 6c -2c'
_cell_length_a 7.4856
_cell_length_b 7.4856
_cell_length_c 12.2010
_cell_angle_alpha 90.00
_cell_angle_beta 90.00
_cell_angle_gamma 120.00
loop_
_atom_site_label
_atom_site_type_symbol
_atom_site_fract_x
_atom_site_fract_y
_atom_site_fract_z
Rb1 Rb 0.0000 0.0000 0.0000
Rb2 Rb 0.3333 0.6667 0.2535
Pu1 Pu 0.3333 0.6667 0.6318
Cl1 Cl 0.0094 0.5047 0.5069
Cl2 Cl 0.1647 0.3294 0.7471
```

Starting from a crystal structure in Alexandria, relaxed with GGA-PBE, the powder diffraction line list of ZnSb2SI was simulated for a wavelength of 1.5418 Å.
Lines closer than 0.1° are merged.

Top 10 peaks for 15° ≤ 2θ ≤ 90°, by angle:
h k l, two_theta, I (rel.)
1 0 0, 16.84, 9.2
1 1 1, 28.69, 100.0
0 0 2, 31.56, 26.5
2 0 0, 34.06, 43.1
2 0 2, 47.12, 33.9
2 2 0, 48.94, 15.1
1 1 3, 54.45, 16.4
3 1 1, 57.72, 27.4
2 2 2, 59.41, 16.6
2 0 4, 76.25, 19.9

```
data_ZnSb2SI
_chemical_formula_sum 'Zn1 Sb2 S1 I1'
_space_group_name_H-M_alt 'P 4/m m m'
_space_group_IT_number 123
_space_group_name_Hall '-P 4 2'
_cell_length_a 5.264
_cell_length_b 5.264
_cell_length_c 5.669
_cell_angle_alpha 90.00
_cell_angle_beta 90.00
_cell_angle_gamma 90.00
loop_
_atom_site_label
_atom_site_type_symbol
_atom_site_fract_x
_atom_site_fract_y
_atom_site_fract_z
Zn1 Zn 0.000 0.000 0.000
Sb1 Sb 0.000 0.500 0.500
S1 S 0.500 0.500 0.500
I1 I 0.500 0.500 0.000
```

Starting from a crystal structure in Alexandria, relaxed with GGA-PBE, the powder diffraction line list of NdZn7Co5 was simulated for a wavelength of 1.5418 Å.
Lines closer than 0.1° are merged.

Top 10 peaks for 15° ≤ 2θ ≤ 90°, by angle:
h k l, two_theta, I (rel.)
1 0 3, 35.95, 17.4
1 3 0, 36.11, 22.2
2 0 0, 36.34, 16.8
0 0 4, 41.60, 26.0
0 4 0, 41.83, 100.0
2 0 2, 42.09, 50.1
0 2 4, 46.87, 10.8
2 2 2, 47.26, 32.5
3 3 2, 69.13, 16.1
1 3 6, 76.09, 11.3

```
data_NdZn7Co5
_chemical_formula_sum 'Nd2 Zn14 Co10'
_space_group_name_H-M_alt 'I m m 2'
_space_group_IT_number 44
_cell_length_a 4.944
_cell_length_b 8.634
_cell_length_c 8.684
_cell_angle_alpha 90.00
_cell_angle_beta 90.00
_cell_angle_gamma 90.00
loop_
_space_group_symop_operation_xyz
'x,y,z'
'-x,-y,z'
'-x,y,z'
'x,-y,z'
'x+1/2,y+1/2,z+1/2'
'-x+1/2,-y+1/2,z+1/2'
'-x+1/2,y+1/2,z+1/2'
'x+1/2,-y+1/2,z+1/2'
loop_
_atom_site_label
_atom_site_type_symbol
_atom_site_fract_x
_atom_site_fract_y
_atom_site_fract_z
Nd1 Nd 0.000 0.000 0.000
Zn1 Zn 0.000 0.000 0.337
Zn2 Zn 0.000 0.000 0.653
Zn3 Zn 0.000 0.281 0.488
Zn4 Zn 0.000 0.348 0.981
Zn5 Zn 0.000 0.500 0.259
Co1 Co 0.000 0.500 0.722
Co2 Co 0.247 0.245 0.235
```

Starting from a crystal structure in Alexandria, relaxed with GGA-PBE, the powder diffraction line list of Y15ErSc4 was simulated for a wavelength of 1.5418 Å.
Lines closer than 0.1° are merged.

Top 10 peaks for 15° ≤ 2θ ≤ 90°, by angle:
h k l, two_theta, I (rel.)
1 1 5, 31.23, 100.0
2 0 0, 36.22, 49.7
2 2 0, 52.15, 33.7
3 1 5, 62.02, 26.3
1 1 15, 62.13, 12.8
2 2 10, 65.15, 11.2
3 3 5, 85.22, 5.4
3 1 15, 85.32, 10.3
4 2 0, 87.98, 5.0
4 0 10, 88.03, 4.9

```
data_Y15ErSc4
_chemical_formula_sum 'Y15 Er1 Sc4'
_space_group_name_H-M_alt 'P 4/m m m'
_space_group_IT_number 123
_space_group_name_Hall '-P 4 2'
_cell_length_a 4.964
_cell_length_b 4.964
_cell_length_c 24.765
_cell_angle_alpha 90.00
_cell_angle_beta 90.00
_cell_angle_gamma 90.00
loop_
_atom_site_label
_atom_site_type_symbol
_atom_site_fract_x
_atom_site_fract_y
_atom_site_fract_z
Y1 Y 0.000 0.000 0.000
Y2 Y 0.000 0.000 0.202
Y3 Y 0.000 0.000 0.401
Y4 Y 0.000 0.500 0.103
Y5 Y 0.000 0.500 0.301
Y6 Y 0.000 0.500 0.500
Er1 Er 0.500 0.500 0.000
Sc1 Sc 0.500 0.500 0.202
Sc2 Sc 0.500 0.500 0.401
```